This entry pairs a crystal structure of TbCdPt2 with its computed X-ray powder pattern. Radiation: a wavelength of 1.5418 Å. Structure: a crystal structure in the Materials Project, relaxed with GGA-PBE.
Intensities are scaled so that the largest is 1000.

Unit cell a=4.8221 b=4.8221 c=4.8221 alpha=60.00 beta=60.00 gamma=60.00
Positions (direct):
Tb: 0.0000 0.0000 0.0000
Cd: 0.5000 0.5000 0.5000
Pt: 0.2500 0.2500 0.2500
Pt: 0.7500 0.7500 0.7500

Main lines, sorted by position (2θ = 10–90°):
| two_theta | Rel. int. |
| --- | --- |
| 26.13 | 34 |
| 37.30 | 1000 |
| 53.77 | 175 |
| 60.74 | 16 |
| 67.26 | 356 |
| 79.51 | 112 |